Theoretical powder XRD pattern
Compound: FePdRh4
Radiation: Cu Kα X-rays
Structure: a crystal structure in Alexandria, relaxed with PBE
Neutral-atom scattering factors, no anomalous dispersion.

Most intense lines, 2θ = 10–90°, sorted by position:
- 2θ = 40.8°, intensity 1000
- 2θ = 47.2°, intensity 334
- 2θ = 48.0°, intensity 145
- 2θ = 69.0°, intensity 104
- 2θ = 69.6°, intensity 183
- 2θ = 83.4°, intensity 239

Structure:
Cell: 2.7208 2.7208 11.3748 Å, 90.00 90.00 90.00°
Atoms (fractional coordinates):
Fe: 0.0000 0.0000 0.0000
Pd: 0.5000 0.5000 0.5000
Rh: 0.0000 0.0000 0.3240
Rh: 0.0000 0.0000 0.6760
Rh: 0.5000 0.5000 0.1563
Rh: 0.5000 0.5000 0.8437

=====

Theoretical powder XRD pattern
Compound: Fe4Pd5Rh4
Radiation: Cu Kα X-rays
Structure: a crystal structure in Alexandria, relaxed with PBE
Neutral-atom scattering factors, no anomalous dispersion.

Most intense lines, 2θ = 10–90°, sorted by position:
- 2θ = 40.6°, intensity 1000
- 2θ = 46.6°, intensity 168
- 2θ = 47.6°, intensity 307
- 2θ = 68.8°, intensity 195
- 2θ = 82.4°, intensity 120
- 2θ = 83.8°, intensity 215

Structure:
Cell: 7.1605 7.1605 7.1605 Å, 94.24 94.24 148.44°
Atoms (fractional coordinates):
Fe: 0.1463 0.2335 0.3798
Fe: 0.2335 0.8537 0.0872
Fe: 0.7665 0.1463 0.9128
Fe: 0.8537 0.7665 0.6202
Pd: 0.0000 0.0000 0.0000
Pd: 0.3071 0.4502 0.7573
Pd: 0.4502 0.6929 0.1431
Pd: 0.5498 0.3071 0.8569
Pd: 0.6929 0.5498 0.2427
Rh: 0.0832 0.6164 0.6996
Rh: 0.3836 0.0832 0.4668
Rh: 0.6164 0.9168 0.5332
Rh: 0.9168 0.3836 0.3004

=====

Theoretical powder XRD pattern
Compound: Fe4PdRh3
Radiation: Cu Kα X-rays
Structure: a crystal structure in Alexandria, relaxed with PBE
Neutral-atom scattering factors, no anomalous dispersion.

Most intense lines, 2θ = 10–90°, sorted by position:
- 2θ = 29.0°, intensity 120
- 2θ = 41.3°, intensity 226
- 2θ = 41.7°, intensity 288
- 2θ = 42.8°, intensity 1000
- 2θ = 60.2°, intensity 142
- 2θ = 76.9°, intensity 164

Structure:
Cell: 8.6574 5.8143 4.3677 Å, 90.00 90.00 90.00°
Atoms (fractional coordinates):
Fe: 0.0000 0.2492 0.0000
Fe: 0.0000 0.7508 0.0000
Fe: 0.2500 0.2476 0.4395
Fe: 0.2500 0.7524 0.4395
Fe: 0.5000 0.2492 0.0000
Fe: 0.5000 0.7508 0.0000
Fe: 0.7500 0.2476 0.5605
Fe: 0.7500 0.7524 0.5605
Pd: 0.0000 0.5000 0.5000
Pd: 0.5000 0.5000 0.5000
Rh: 0.0000 0.0000 0.5000
Rh: 0.2500 0.0000 0.9468
Rh: 0.2500 0.5000 0.9400
Rh: 0.5000 0.0000 0.5000
Rh: 0.7500 0.0000 0.0532
Rh: 0.7500 0.5000 0.0600

=====

Theoretical powder XRD pattern
Compound: Fe6PdRh
Radiation: Cu Kα X-rays
Structure: a crystal structure in Alexandria, relaxed with PBE
Neutral-atom scattering factors, no anomalous dispersion.

Most intense lines, 2θ = 10–90°, sorted by position:
- 2θ = 43.1°, intensity 203
- 2θ = 43.3°, intensity 1000
- 2θ = 62.8°, intensity 124
- 2θ = 63.0°, intensity 61
- 2θ = 79.2°, intensity 121
- 2θ = 79.5°, intensity 180

Structure:
Cell: 5.1296 5.1296 4.1767 Å, 90.00 90.00 109.79°
Atoms (fractional coordinates):
Fe: 0.0000 0.5000 0.5000
Fe: 0.2486 0.7514 0.0000
Fe: 0.2562 0.2562 0.0000
Fe: 0.5000 0.0000 0.5000
Fe: 0.7438 0.7438 0.0000
Fe: 0.7514 0.2486 0.0000
Pd: 0.0000 0.0000 0.5000
Rh: 0.5000 0.5000 0.5000

=====

Theoretical powder XRD pattern
Compound: Fe5Pd2Rh2
Radiation: Cu Kα X-rays
Structure: a crystal structure in Alexandria, relaxed with PBE
Neutral-atom scattering factors, no anomalous dispersion.

Most intense lines, 2θ = 10–90°, sorted by position:
- 2θ = 41.7°, intensity 1000
- 2θ = 42.3°, intensity 922
- 2θ = 44.1°, intensity 231
- 2θ = 44.1°, intensity 327
- 2θ = 45.5°, intensity 409
- 2θ = 65.2°, intensity 305

Structure:
Cell: 2.6498 3.9899 11.6292 Å, 99.85 96.51 90.03°
Atoms (fractional coordinates):
Fe: 0.0000 0.0000 0.0000
Fe: 0.0120 0.7794 0.5589
Fe: 0.3703 0.5524 0.1044
Fe: 0.6297 0.4476 0.8956
Fe: 0.9880 0.2206 0.4411
Pd: 0.1458 0.8924 0.7855
Pd: 0.8542 0.1076 0.2145
Rh: 0.4302 0.6754 0.3511
Rh: 0.5698 0.3246 0.6489

=====

Theoretical powder XRD pattern
Compound: Fe3Pd2Rh3
Radiation: Cu Kα X-rays
Structure: a crystal structure in Alexandria, relaxed with PBE
Neutral-atom scattering factors, no anomalous dispersion.

Most intense lines, 2θ = 10–90°, sorted by position:
- 2θ = 41.0°, intensity 1000
- 2θ = 46.7°, intensity 167
- 2θ = 47.0°, intensity 168
- 2θ = 49.3°, intensity 144
- 2θ = 82.8°, intensity 116
- 2θ = 83.1°, intensity 120

Structure:
Cell: 8.2210 8.2210 8.2210 Å, 154.03 152.77 37.98°
Atoms (fractional coordinates):
Fe: 0.0000 0.0000 0.0000
Fe: 0.3790 0.8790 0.5000
Fe: 0.6210 0.1210 0.5000
Pd: 0.2516 0.2516 0.0000
Pd: 0.7484 0.7484 0.0000
Rh: 0.1211 0.6211 0.5000
Rh: 0.5000 0.5000 0.0000
Rh: 0.8789 0.3789 0.5000